# MgTe
Calculated powder diffraction line list, Cu Kα. Input: a GGA-PBE-relaxed structure.
Kinematic intensities with the Lorentz-polarization factor, no thermal factor.

Main lines, most intense first (2θ from 10° to 90°):
2θ/deg, Rel. int., index
23.50, 1000, 3 0 1
13.25, 746, 1 0 1
24.05, 687, 1 1 1
23.04, 668, 0 1 1
22.82, 527, 0 0 2
28.78, 463, 3 1 0
41.90, 416, 5 1 1
24.27, 386, 2 1 0
26.68, 368, 2 0 2
44.65, 365, 2 2 1

Atomic structure:
Cell lengths 12.996, 4.443, 7.792 Å; angles 90.00, 90.00, 90.00 degrees
Sites, in units of the cell vectors:
Mg 0.000 0.058 0.000
Mg 0.209 0.346 0.207
Mg 0.291 0.654 0.707
Mg 0.500 0.942 0.500
Mg 0.709 0.654 0.707
Mg 0.791 0.346 0.207
Te 0.000 0.558 0.233
Te 0.196 0.154 0.859
Te 0.304 0.846 0.359
Te 0.500 0.442 0.733
Te 0.696 0.846 0.359
Te 0.804 0.154 0.859